[1]
Diffraction record for TaVP. The powder XRD pattern is calculated, not measured: it uses a DFT-relaxed cell (PBE, the Materials Project) and Cu Kα.
No peak broadening, texture or thermal motion is included.

Crystal structure
a b c (Å): 6.400 3.408 7.702
angles (deg): 90.00 90.00 90.00
Fractional coordinates of all 12 atoms:
Ta  0.036  0.250  0.169
Ta  0.464  0.750  0.669
Ta  0.536  0.250  0.331
Ta  0.964  0.750  0.831
V  0.139  0.250  0.558
V  0.361  0.750  0.058
V  0.639  0.250  0.942
V  0.861  0.750  0.442
P  0.236  0.750  0.360
P  0.264  0.250  0.860
P  0.736  0.750  0.140
P  0.764  0.250  0.640

Top 10 peaks for 2θ from 10° to 90°, sorted by position:
18.02°, d 4.922, intensity 28.6, hkl 1 0 1; 27.88°, d 3.200, intensity 27.0, hkl 2 0 0; 28.64°, d 3.117, intensity 44.8, hkl 0 1 1; 37.76°, d 2.383, intensity 59.0, hkl 1 0 3; 37.95°, d 2.371, intensity 100.0, hkl 1 1 2; 38.59°, d 2.333, intensity 24.0, hkl 2 1 0; 40.40°, d 2.233, intensity 77.8, hkl 2 1 1; 53.79°, d 1.704, intensity 20.1, hkl 0 2 0; 56.77°, d 1.622, intensity 16.7, hkl 1 1 4; 67.57°, d 1.386, intensity 25.5, hkl 1 2 3


[2]
Diffraction record for Tm3Ga5. The powder XRD pattern is calculated, not measured: it uses a DFT-relaxed cell (PBE, the Materials Project) and Cu Kα.
No peak broadening, texture or thermal motion is included.

Crystal structure
a b c (Å): 11.268 9.625 6.049
angles (deg): 90.00 90.00 90.00
Fractional coordinates of all 32 atoms:
Tm  0.073  0.250  0.152
Tm  0.148  0.510  0.611
Tm  0.148  0.990  0.611
Tm  0.352  0.010  0.111
Tm  0.352  0.490  0.111
Tm  0.427  0.750  0.652
Tm  0.573  0.250  0.348
Tm  0.648  0.510  0.889
Tm  0.648  0.990  0.889
Tm  0.852  0.010  0.389
Tm  0.852  0.490  0.389
Tm  0.927  0.750  0.848
Ga  0.006  0.250  0.627
Ga  0.091  0.551  0.126
Ga  0.091  0.949  0.126
Ga  0.201  0.750  0.893
Ga  0.249  0.750  0.326
Ga  0.251  0.250  0.826
Ga  0.299  0.250  0.393
Ga  0.409  0.051  0.626
Ga  0.409  0.449  0.626
Ga  0.494  0.750  0.127
Ga  0.506  0.250  0.873
Ga  0.591  0.551  0.374
Ga  0.591  0.949  0.374
Ga  0.701  0.750  0.607
Ga  0.749  0.750  0.174
Ga  0.751  0.250  0.674
Ga  0.799  0.250  0.107
Ga  0.909  0.051  0.874
Ga  0.909  0.449  0.874
Ga  0.994  0.750  0.373

Top 10 peaks for 2θ from 10° to 90°, sorted by position:
28.51°, d 3.131, intensity 54.3, hkl 2 2 1; 30.61°, d 2.921, intensity 43.6, hkl 1 0 2; 32.06°, d 2.792, intensity 65.0, hkl 2 3 0; 33.70°, d 2.659, intensity 76.1, hkl 3 2 1; 35.13°, d 2.555, intensity 54.9, hkl 4 0 1; 35.97°, d 2.497, intensity 100.0, hkl 1 2 2; 36.98°, d 2.431, intensity 75.5, hkl 4 2 0; 37.37°, d 2.406, intensity 88.1, hkl 0 4 0; 38.21°, d 2.356, intensity 81.5, hkl 3 0 2; 41.82°, d 2.160, intensity 63.6, hkl 1 3 2